Calculated X-ray powder pattern
Compound: CsKWO4
Radiation: λ = 1.5418 Å (Cu Kα)
Structure: a crystal structure in Alexandria, relaxed with GGA+U

Principal peaks in the range 2θ = 10–80°, sorted by position:
2θ = 15.1°, I = 96
2θ = 17.5°, I = 75
2θ = 20.0°, I = 80
2θ = 20.7°, I = 98
2θ = 26.1°, I = 100
2θ = 26.8°, I = 85
2θ = 26.9°, I = 81
2θ = 27.8°, I = 52
2θ = 29.7°, I = 59
2θ = 38.5°, I = 51

Atomic structure:
abc: 6.7406 6.8314 7.9590
angles: 90.00 107.89 90.00
Atoms (fractional coordinates):
Cs (0.2027, 0.2500, 0.4358)
Cs (0.7973, 0.7500, 0.5642)
K (0.3139, 0.2500, 0.9693)
K (0.6861, 0.7500, 0.0307)
W (0.2342, 0.7500, 0.1738)
W (0.7658, 0.2500, 0.8262)
O (0.0672, 0.7500, 0.3154)
O (0.0699, 0.7500, 0.9455)
O (0.4046, 0.5362, 0.2148)
O (0.4046, 0.9638, 0.2148)
O (0.5954, 0.0362, 0.7852)
O (0.5954, 0.4638, 0.7852)
O (0.9301, 0.2500, 0.0545)
O (0.9328, 0.2500, 0.6846)